Theoretical XRD peak list of Pb2O3 for Cu Ka, from a structure optimized by DFT (GGA-PBE).

Crystal structure
Unit cell a=7.6955 b=5.7615 c=7.9633 alpha=90.00 beta=112.70 gamma=90.00
Positions (direct):
Pb1 0.0883 0.2458 0.1156
Pb2 0.0883 0.2542 0.6156
Pb3 0.3859 0.7438 0.8497
Pb4 0.3859 0.7562 0.3497
Pb5 0.6141 0.2438 0.6503
Pb6 0.6141 0.2562 0.1503
Pb7 0.9117 0.7458 0.3844
Pb8 0.9117 0.7542 0.8844
O1 0.0675 0.0661 0.3596
O2 0.0675 0.4339 0.8596
O3 0.1905 0.5917 0.5509
O4 0.1905 0.9083 0.0509
O5 0.3689 0.1285 0.7624
O6 0.3689 0.3715 0.2624
O7 0.6311 0.6285 0.7376
O8 0.6311 0.8715 0.2376
O9 0.8095 0.0917 0.9491
O10 0.8095 0.4083 0.4491
O11 0.9325 0.5661 0.1404
O12 0.9325 0.9339 0.6404

The 8 most intense peaks (2θ = 15–90°), sorted by position:
| 2theta | I/Imax |
| --- | --- |
| 27.39 | 51 |
| 28.83 | 100 |
| 29.56 | 89 |
| 31.04 | 43 |
| 41.65 | 19 |
| 41.87 | 38 |
| 48.83 | 25 |
| 53.87 | 22 |

=====

Theoretical XRD peak list of ErPu2Ge2Pd2 for Cu Ka, from a structure optimized by DFT (GGA-PBE).

Crystal structure
Unit cell a=8.9510 b=8.9510 c=8.9510 alpha=27.11 beta=27.11 gamma=27.11
Positions (direct):
Er1 0.0000 0.0000 0.0000
Pu1 0.1538 0.1538 0.1538
Pu2 0.8462 0.8462 0.8462
Ge1 0.2665 0.2665 0.2665
Ge2 0.7335 0.7335 0.7335
Pd1 0.4222 0.4222 0.4222
Pd2 0.5778 0.5778 0.5778

The 8 most intense peaks (2θ = 15–90°), sorted by position:
| 2theta | I/Imax |
| --- | --- |
| 24.74 | 14 |
| 30.06 | 18 |
| 34.63 | 100 |
| 43.11 | 69 |
| 56.44 | 25 |
| 61.71 | 22 |
| 73.57 | 23 |
| 74.46 | 12 |

=====

Theoretical XRD peak list of CeAgP2Se6 for Cu Ka, from a structure optimized by DFT (GGA-PBE).

Crystal structure
Unit cell a=6.6834 b=7.4896 c=11.9227 alpha=90.00 beta=122.86 gamma=90.00
Positions (direct):
Ce1 0.0000 0.1296 0.0000
Ce2 0.0000 0.8704 0.5000
Ag1 0.6028 0.3303 0.4872
Ag2 0.6028 0.6697 0.9872
P1 0.6629 0.1467 0.1843
P2 0.6629 0.8533 0.6843
P3 0.9226 0.3654 0.3074
P4 0.9226 0.6346 0.8074
Se1 0.0424 0.4651 0.1800
Se2 0.0424 0.5349 0.6800
Se3 0.2030 0.2402 0.4994
Se4 0.2030 0.7598 0.9994
Se5 0.4118 0.2623 0.9857
Se6 0.4118 0.7377 0.4857
Se7 0.4939 0.0479 0.2895
Se8 0.4939 0.9521 0.7895
Se9 0.6896 0.4444 0.8257
Se10 0.6896 0.5556 0.3257
Se11 0.8940 0.0703 0.6884
Se12 0.8940 0.9297 0.1884

The 8 most intense peaks (2θ = 15–90°), sorted by position:
| 2theta | I/Imax |
| --- | --- |
| 17.75 | 39 |
| 29.79 | 100 |
| 30.46 | 51 |
| 30.80 | 85 |
| 32.02 | 67 |
| 32.54 | 79 |
| 36.04 | 52 |
| 37.03 | 38 |